CePa2OsN4: computed PXRD pattern (Cu Kα (λ = 1.5418 Å)), based on DFT lattice parameters and positions (PBE).
No peak broadening, texture or thermal motion is included.

Top 8 peaks for 2θ from 15° to 90°, by angle:
d = 5.276 Å, 2θ = 16.80°, I = 40; d = 3.257 Å, 2θ = 27.39°, I = 39; d = 2.955 Å, 2θ = 30.24°, I = 60; d = 2.860 Å, 2θ = 31.28°, I = 100; d = 2.509 Å, 2θ = 35.78°, I = 39; d = 2.360 Å, 2θ = 38.14°, I = 88; d = 2.177 Å, 2θ = 41.48°, I = 29; d = 1.739 Å, 2θ = 52.62°, I = 32

Crystal structure
```
CePa2OsN4
1.0
1.705 -5.911 0.000
1.705 5.911 0.000
0.000 0.000 11.708
Ce Pa Os N
2 4 2 8
Cartesian
1.705 4.669 8.781 Ce
1.705 -4.669 2.927 Ce
1.705 1.559 6.497 Pa
1.705 1.559 11.065 Pa
1.705 -1.559 0.643 Pa
1.705 -1.559 5.211 Pa
1.705 4.073 2.927 Os
1.705 -4.073 8.781 Os
0.000 0.000 0.000 N
0.000 0.000 5.854 N
1.705 2.632 1.390 N
1.705 2.632 4.464 N
1.705 0.561 8.781 N
1.705 -0.561 2.927 N
1.705 -2.632 7.244 N
1.705 -2.632 10.318 N
```